[1]
Calculated powder X-ray diffraction pattern
Compound: LiTl3Hg2
Radiation: Cu Kα (λ = 1.5418 Å)
Structure: a PBE-relaxed structure

Structure:
a b c (Å): 5.4773 16.5571 3.4774
angles (deg): 90.00 90.00 90.00
Space group Cmmm (No. 65)
Unique sites:
Li 0.0000 0.0000 0.0000 x2
Tl 0.0000 0.3155 0.0000 x4
Tl 0.0000 0.5000 0.5000 x2
Hg 0.0000 0.1347 0.5000 x4

Principal peaks in the range 2θ from 15° to 90°, low angle first:
(hkl)  d [Å]  intensity
0 2 1  3.206  18
1 5 0  2.834  41
0 6 0  2.760  16
2 0 0  2.739  35
1 3 1  2.592  100
2 6 0  1.944  11
0 8 1  1.778  18
3 3 1  1.551  21
2 8 1  1.492  20
1 5 2  1.482  12

[2]
Calculated powder X-ray diffraction pattern
Compound: Pr5Sn2
Radiation: Cu Kα (λ = 1.5418 Å)
Structure: a PBE-relaxed structure

Structure:
a b c (Å): 16.5731 6.1672 9.0796
angles (deg): 90.00 96.36 90.00
Space group C2/c (No. 15)
Unique sites:
Pr 0.0000 0.2127 0.2500 x4
Pr 0.1077 0.3207 0.9398 x8
Pr 0.2229 0.0956 0.3207 x8
Sn 0.0945 0.1926 0.5891 x8

Principal peaks in the range 2θ from 15° to 90°, low angle first:
(hkl)  d [Å]  intensity
3 1 1  3.623  31
3 1 -2  3.168  39
0 2 1  2.918  32
4 0 2  2.887  83
5 1 -1  2.848  72
2 2 1  2.720  53
1 1 -3  2.711  100
6 0 -4  1.848  29
3 1 5  1.604  19
2 4 -1  1.499  23

[3]
Calculated powder X-ray diffraction pattern
Compound: CeZnGa2Ni
Radiation: Cu Kα (λ = 1.5418 Å)
Structure: a PBE-relaxed structure

Structure:
a b c (Å): 4.1450 4.1465 10.4762
angles (deg): 90.00 90.00 90.00
Space group Imm2 (No. 44)
Unique sites:
Ce 0.0000 0.0000 0.0000 x2
Zn 0.0000 0.5000 0.7464 x2
Ga 0.0000 0.0000 0.3970 x2
Ga 0.0000 0.5000 0.2419 x2
Ni 0.0000 0.0000 0.6196 x2

Principal peaks in the range 2θ from 15° to 90°, low angle first:
(hkl)  d [Å]  intensity
1 1 0  2.931  13
0 1 3  2.671  51
1 1 2  2.558  100
2 0 0  2.073  50
1 0 5  1.870  29
2 1 3  1.638  23
2 2 0  1.466  16
1 2 5  1.388  21
3 1 2  1.272  21
2 0 8  1.107  10

[4]
Calculated powder X-ray diffraction pattern
Compound: Tb7Sm2Tm4
Radiation: Cu Kα (λ = 1.5418 Å)
Structure: a PBE-relaxed structure

Structure:
a b c (Å): 6.0663 6.0663 13.1925
angles (deg): 90.00 90.00 120.00
Space group P-31m (No. 162)
Unique sites:
Tb 0.0000 0.0000 0.0000 x1
Tb 0.0000 0.3589 0.2196 x6
Sm 0.3333 0.6667 0.0000 x2
Tm 0.0000 0.0000 0.3946 x2
Tm 0.3333 0.6667 0.5000 x2

Principal peaks in the range 2θ from 15° to 90°, low angle first:
(hkl)  d [Å]  intensity
0 0 4  3.298  21
1 1 0  3.033  16
1 1 1  2.956  45
1 0 4  2.793  15
2 -1 2  2.756  100
1 1 3  2.497  30
2 -1 6  1.780  17
3 0 0  1.751  30
2 2 2  1.478  14
1 1 8  1.449  14

[5]
Calculated powder X-ray diffraction pattern
Compound: Co8Ru
Radiation: Cu Kα (λ = 1.5418 Å)
Structure: a PBE-relaxed structure

Structure:
a b c (Å): 7.5830 7.5830 3.5565
angles (deg): 90.00 90.00 90.00
Space group I4/mmm (No. 139)
Unique sites:
Co 0.0000 0.3380 0.0000 x8
Co 0.1713 0.1713 0.5000 x8
Ru 0.0000 0.0000 0.0000 x2

Principal peaks in the range 2θ from 15° to 90°, low angle first:
(hkl)  d [Å]  intensity
1 1 0  5.362  1
1 0 1  3.220  2
2 2 0  2.681  1
2 1 1  2.454  2
3 0 1  2.060  100
3 3 0  1.787  31
0 0 2  1.778  15
5 2 1  1.309  1
6 0 0  1.264  9
3 3 2  1.261  18

[6]
Calculated powder X-ray diffraction pattern
Compound: Ca2BeCd
Radiation: Cu Kα (λ = 1.5418 Å)
Structure: a PBE-relaxed structure

Structure:
a b c (Å): 7.3722 7.4346 3.6836
angles (deg): 90.00 90.19 90.00
Space group C2/m (No. 12)
Unique sites:
Ca 0.2500 0.2500 0.0000 x4
Be 0.0000 0.0000 0.5000 x2
Cd 0.0000 0.5000 0.5000 x2

Principal peaks in the range 2θ from 15° to 90°, low angle first:
(hkl)  d [Å]  intensity
1 1 0  5.235  77
1 1 1  3.013  41
2 2 0  2.617  100
2 0 -1  2.610  25
2 0 1  2.601  25
1 3 1  1.981  12
4 0 0  1.842  17
2 4 1  1.513  17
4 2 -1  1.508  16
4 2 1  1.505  16

[7]
Calculated powder X-ray diffraction pattern
Compound: UReTcW
Radiation: Cu Kα (λ = 1.5418 Å)
Structure: a PBE-relaxed structure

Structure:
a b c (Å): 6.5244 6.5244 6.5244
angles (deg): 90.00 90.00 90.00
Space group F-43m (No. 216)
Unique sites:
U 0.0000 0.0000 0.0000 x4
Re 0.2500 0.2500 0.7500 x4
Tc 0.2500 0.2500 0.2500 x4
W 0.0000 0.0000 0.5000 x4

Principal peaks in the range 2θ from 15° to 90°, low angle first:
(hkl)  d [Å]  intensity
1 1 1  3.767  4
2 0 0  3.262  4
2 2 0  2.307  100
3 1 1  1.967  2
2 2 2  1.883  1
4 0 0  1.631  17
3 3 1  1.497  1
4 2 0  1.459  2
4 2 2  1.332  36
4 4 0  1.153  12

[8]
Calculated powder X-ray diffraction pattern
Compound: Pr4DyY2
Radiation: Cu Kα (λ = 1.5418 Å)
Structure: a PBE-relaxed structure

Structure:
a b c (Å): 12.1235 24.5449 6.5355
angles (deg): 90.00 90.00 90.00
Space group Fdd2 (No. 43)
Unique sites:
Pr 0.0509 0.4296 0.0000 x16
Pr 0.0681 0.3569 0.4702 x16
Dy 0.0000 0.0000 0.0072 x8
Y 0.0249 0.2839 0.9478 x16

Principal peaks in the range 2θ from 15° to 90°, low angle first:
(hkl)  d [Å]  intensity
1 7 1  2.994  100
4 2 0  2.942  36
2 0 2  2.876  63
3 5 1  2.816  37
2 2 2  2.801  29
3 7 1  2.455  25
5 5 1  2.063  11
1 7 3  1.829  20
2 14 0  1.684  20
0 14 2  1.545  14

[9]
Calculated powder X-ray diffraction pattern
Compound: Rb2TlAg
Radiation: Cu Kα (λ = 1.5418 Å)
Structure: a PBE-relaxed structure

Structure:
a b c (Å): 11.0618 8.9249 6.8189
angles (deg): 90.00 90.00 90.00
Space group Cmcm (No. 63)
Unique sites:
Rb 0.1786 0.1467 0.2500 x8
Tl 0.0000 0.5000 0.0000 x4
Ag 0.0000 0.2229 0.7500 x4

Principal peaks in the range 2θ from 15° to 90°, low angle first:
(hkl)  d [Å]  intensity
2 0 0  5.531  61
3 1 0  3.408  79
1 1 2  3.061  100
3 1 1  3.048  87
1 3 0  2.873  64
0 2 2  2.709  65
2 2 2  2.433  59
2 4 0  2.069  34
3 3 2  1.915  34
6 2 2  1.524  36

[10]
Calculated powder X-ray diffraction pattern
Compound: AcCe3Pd3
Radiation: Cu Kα (λ = 1.5418 Å)
Structure: a PBE-relaxed structure

Structure:
a b c (Å): 7.7805 7.7805 7.7805
angles (deg): 90.00 90.00 90.00
Space group Pm-3n (No. 223)
Unique sites:
Ac 0.0000 0.0000 0.0000 x2
Ce 0.0000 0.2500 0.5000 x6
Pd 0.0000 0.5000 0.2500 x6

Principal peaks in the range 2θ from 15° to 90°, low angle first:
(hkl)  d [Å]  intensity
2 0 0  3.890  42
2 1 1  3.176  100
2 2 2  2.246  16
3 2 1  2.079  62
4 0 0  1.945  26
4 2 0  1.740  18
3 3 2  1.659  15
5 2 1  1.421  18
4 4 0  1.375  17
6 1 1  1.262  18

[11]
Calculated powder X-ray diffraction pattern
Compound: RbNdTcN3
Radiation: Cu Kα (λ = 1.5418 Å)
Structure: a PBE-relaxed structure

Structure:
a b c (Å): 13.8272 3.9454 8.1964
angles (deg): 90.00 104.87 90.00
Space group C2/m (No. 12)
Unique sites:
Rb 0.1388 0.0000 0.0701 x4
Nd 0.1609 0.0000 0.5794 x4
Tc 0.0045 0.5000 0.3372 x4
N 0.0111 0.0000 0.3365 x4
N 0.1290 0.5000 0.7810 x4
N 0.1562 0.5000 0.3789 x4

Principal peaks in the range 2θ from 15° to 90°, low angle first:
(hkl)  d [Å]  intensity
2 0 2  3.078  30
3 1 0  2.954  100
1 1 -2  2.841  70
6 0 0  2.227  19
0 2 0  1.973  19
2 0 4  1.778  16
7 1 -2  1.729  11
2 2 2  1.661  14
4 2 -2  1.641  12
6 2 0  1.477  12

[12]
Calculated powder X-ray diffraction pattern
Compound: Be3Al2Au8
Radiation: Cu Kα (λ = 1.5418 Å)
Structure: a PBE-relaxed structure

Structure:
a b c (Å): 7.3585 4.1854 7.5557
angles (deg): 90.00 112.75 90.00
Space group P2/m (No. 10)
Unique sites:
Be 0.0000 0.0000 0.0000 x1
Be 0.2566 0.5000 0.2392 x2
Al 0.2305 0.0000 0.7268 x2
Au 0.1140 0.5000 0.8747 x2
Au 0.1569 0.0000 0.3577 x2
Au 0.3771 0.0000 0.1148 x2
Au 0.3814 0.5000 0.6167 x2

Principal peaks in the range 2θ from 15° to 90°, low angle first:
(hkl)  d [Å]  intensity
2 0 -2  3.104  51
1 1 1  2.939  100
1 1 -3  2.156  47
3 1 -1  2.113  42
0 2 0  2.093  23
2 0 2  2.064  22
0 0 4  1.742  11
2 2 -2  1.735  20
2 2 2  1.470  15
1 3 1  1.322  10

[13]
Calculated powder X-ray diffraction pattern
Compound: PmSmBiAs
Radiation: Cu Kα (λ = 1.5418 Å)
Structure: a PBE-relaxed structure

Structure:
a b c (Å): 4.3641 4.3641 21.8241
angles (deg): 90.00 90.00 120.00
Space group R3m (No. 160, hexagonal axes)
Unique sites:
Pm 0.0000 0.0000 0.0000 x3
Sm 0.0000 0.0000 0.4849 x3
Bi 0.0000 0.0000 0.2420 x3
As 0.0000 0.0000 0.7429 x3

Principal peaks in the range 2θ from 15° to 90°, low angle first:
(hkl)  d [Å]  intensity
1 0 1  3.724  9
1 0 4  3.107  100
0 1 5  2.857  10
0 1 8  2.212  37
1 1 0  2.182  38
0 2 4  1.786  20
2 0 8  1.553  12
1 1 12  1.397  16
2 1 4  1.382  18
1 2 8  1.265  13

[14]
Calculated powder X-ray diffraction pattern
Compound: Tb6Sm10Th
Radiation: Cu Kα (λ = 1.5418 Å)
Structure: a PBE-relaxed structure

Structure:
a b c (Å): 9.7674 9.7674 6.9334
angles (deg): 90.00 90.00 120.00
Space group P-31m (No. 162)
Unique sites:
Tb 0.0000 0.3706 0.1924 x6
Sm 0.0000 0.2754 0.6821 x6
Sm 0.3333 0.6667 0.0000 x2
Sm 0.3333 0.6667 0.5000 x2
Th 0.0000 0.0000 0.0000 x1

Principal peaks in the range 2θ from 15° to 90°, low angle first:
(hkl)  d [Å]  intensity
2 0 1  3.611  6
2 1 1  2.903  23
2 -1 2  2.824  100
2 2 2  1.996  15
5 -2 1  1.869  8
3 1 3  1.646  5
1 1 4  1.634  10
5 -1 2  1.629  14
4 0 3  1.560  5
5 1 1  1.484  8